Theoretical PXRD pattern
Compound: LiTm2Cl2O2
Radiation: a wavelength of 1.5418 Å
Structure: a structure optimized by DFT (GGA-PBE)
No peak broadening, texture or thermal motion is included.

Peak list (10 most intense, 10° ≤ 2θ ≤ 90°, by intensity)
2θ 10.3, rel. 100, hkl 0 0 1; 2θ 31.1, rel. 81, hkl 1 0 2; 2θ 32.7, rel. 32, hkl 1 1 0; 2θ 57.4, rel. 30, hkl 2 1 2; 2θ 25.2, rel. 24, hkl 1 0 1; 2θ 39.1, rel. 22, hkl 1 0 3; 2θ 46.9, rel. 17, hkl 2 0 0; 2θ 54.3, rel. 16, hkl 1 1 4; 2θ 34.4, rel. 14, hkl 1 1 1; 2θ 62.7, rel. 11, hkl 2 1 3

Atomic structure:
a b c (Å): 3.872 3.872 8.593
angles (deg): 90.00 90.00 90.00
Element x y z (fractional)
Li 0.000 0.000 0.000
Tm 0.000 0.500 0.622
Tm 0.500 0.000 0.378
Cl 0.000 0.500 0.185
Cl 0.500 0.000 0.815
O 0.000 0.000 0.500
O 0.500 0.500 0.500